(1)
# VCo
Calculated powder XRD pattern, Cu Kα (λ = 1.5418 Å). Input: a crystal structure in Alexandria, relaxed with GGA-PBE.
Peak positions follow from Bragg's law for the DFT cell and can differ from measured ones.

Cell and atoms:
```
data_VCo
_cell_length_a 2.8982
_cell_length_b 2.8982
_cell_length_c 2.8982
_cell_angle_alpha 90.00
_cell_angle_beta 90.00
_cell_angle_gamma 90.00
_space_group_name_H-M_alt 'P m -3 m'
_space_group_IT_number 221
_space_group_name_Hall '-P 4 2 3'
loop_
_atom_site_label
_atom_site_type_symbol
_atom_site_fract_x
_atom_site_fract_y
_atom_site_fract_z
V1 V 0.0000 0.0000 0.0000
Co1 Co 0.5000 0.5000 0.5000
```

Peak list (5 most intense, 15 to 90 degrees two-theta, by intensity)
2θ/deg, d/Å, I (rel.), (hkl)
44.2, 2.049, 100, 1 1 0
81.3, 1.183, 28, 2 1 1
64.3, 1.449, 15, 2 0 0
30.9, 2.898, 2, 1 0 0
73.0, 1.296, 1, 2 1 0

***

(2)
# V4Co
Calculated powder XRD pattern, Cu Kα (λ = 1.5418 Å). Input: a crystal structure in Alexandria, relaxed with GGA-PBE.
Peak positions follow from Bragg's law for the DFT cell and can differ from measured ones.

Cell and atoms:
```
data_V4Co
_cell_length_a 5.0686
_cell_length_b 14.9352
_cell_length_c 4.1145
_cell_angle_alpha 90.00
_cell_angle_beta 121.06
_cell_angle_gamma 90.00
_space_group_name_H-M_alt 'C 1 2/c 1'
_space_group_IT_number 15
loop_
_space_group_symop_operation_xyz
'x,y,z'
'-x,-y,-z'
'-x,y,-z+1/2'
'x,-y,z+1/2'
'x+1/2,y+1/2,z'
'-x+1/2,-y+1/2,-z'
'-x+1/2,y+1/2,-z+1/2'
'x+1/2,-y+1/2,z+1/2'
loop_
_atom_site_label
_atom_site_type_symbol
_atom_site_fract_x
_atom_site_fract_y
_atom_site_fract_z
V1 V 0.1756 0.0781 0.1041
V2 V 0.2441 0.2005 0.7296
Co1 Co 0.0000 0.4470 0.2500
```

Peak list (10 most intense, 15 to 90 degrees two-theta, by intensity)
2θ/deg, d/Å, I (rel.), (hkl)
43.4, 2.087, 100, 2 4 -1
44.5, 2.035, 59, 1 3 1
44.8, 2.022, 29, 1 1 -2
35.0, 2.563, 22, 0 4 1
48.8, 1.867, 21, 0 8 0
51.1, 1.787, 13, 1 5 1
36.1, 2.489, 11, 0 6 0
28.0, 3.188, 10, 0 2 1
63.0, 1.475, 10, 1 7 -2
48.4, 1.882, 9, 2 2 -2

***

(3)
# VCo7
Calculated powder XRD pattern, Cu Kα (λ = 1.5418 Å). Input: a crystal structure in Alexandria, relaxed with GGA-PBE.
Peak positions follow from Bragg's law for the DFT cell and can differ from measured ones.

Cell and atoms:
```
data_VCo7
_cell_length_a 5.0216
_cell_length_b 5.0216
_cell_length_c 4.0223
_cell_angle_alpha 90.00
_cell_angle_beta 90.00
_cell_angle_gamma 120.00
_space_group_name_H-M_alt 'P -6 m 2'
_space_group_IT_number 187
_space_group_name_Hall 'P -6 2'
loop_
_atom_site_label
_atom_site_type_symbol
_atom_site_fract_x
_atom_site_fract_y
_atom_site_fract_z
V1 V 0.0000 0.0000 0.0000
Co1 Co 0.0022 0.5011 0.0000
Co2 Co 0.3333 0.6667 0.5000
Co3 Co 0.3387 0.1694 0.5000
```

Peak list (7 most intense, 15 to 90 degrees two-theta, by intensity)
2θ/deg, d/Å, I (rel.), (hkl)
47.5, 1.913, 100, 2 0 1
45.1, 2.011, 26, 0 0 2
41.5, 2.174, 25, 2 0 0
85.0, 1.141, 16, 2 0 3
75.8, 1.255, 15, 2 2 0
63.0, 1.476, 13, 2 0 2
20.4, 4.349, 1, 1 0 0

***

(4)
# V3Co5
Calculated powder XRD pattern, Cu Kα (λ = 1.5418 Å). Input: a crystal structure in Alexandria, relaxed with GGA-PBE.
Peak positions follow from Bragg's law for the DFT cell and can differ from measured ones.

Cell and atoms:
```
data_V3Co5
_cell_length_a 6.9262
_cell_length_b 7.3188
_cell_length_c 3.5839
_cell_angle_alpha 90.00
_cell_angle_beta 90.00
_cell_angle_gamma 90.00
_space_group_name_H-M_alt 'C m m m'
_space_group_IT_number 65
_space_group_name_Hall '-C 2 2'
loop_
_atom_site_label
_atom_site_type_symbol
_atom_site_fract_x
_atom_site_fract_y
_atom_site_fract_z
V1 V 0.0000 0.0000 0.0000
V2 V 0.0000 0.2753 0.5000
Co1 Co 0.0000 0.5000 0.0000
Co2 Co 0.2399 0.0000 0.5000
Co3 Co 0.2500 0.2500 0.0000
```

Peak list (10 most intense, 15 to 90 degrees two-theta, by intensity)
2θ/deg, d/Å, I (rel.), (hkl)
44.0, 2.059, 100, 2 2 1
51.0, 1.792, 16, 0 0 2
49.8, 1.830, 16, 0 4 0
52.9, 1.732, 14, 4 0 0
89.5, 1.095, 9, 2 6 1
74.1, 1.280, 9, 0 4 2
76.5, 1.245, 8, 4 0 2
75.6, 1.258, 8, 4 4 0
46.9, 1.936, 2, 1 3 1
17.6, 5.031, 1, 1 1 0

***

(5)
# V4CoW
Calculated powder XRD pattern, Cu Kα (λ = 1.5418 Å). Input: a crystal structure in Alexandria, relaxed with GGA-PBE.
Peak positions follow from Bragg's law for the DFT cell and can differ from measured ones.

Cell and atoms:
```
data_V4CoW
_cell_length_a 2.6121
_cell_length_b 4.2052
_cell_length_c 7.2954
_cell_angle_alpha 90.00
_cell_angle_beta 90.13
_cell_angle_gamma 90.00
_space_group_name_H-M_alt 'P 1 2/m 1'
_space_group_IT_number 10
loop_
_space_group_symop_operation_xyz
'x,y,z'
'-x,-y,-z'
'-x,y,-z'
'x,-y,z'
loop_
_atom_site_label
_atom_site_type_symbol
_atom_site_fract_x
_atom_site_fract_y
_atom_site_fract_z
V1 V 0.1551 0.0000 0.3420
V2 V 0.1701 0.5000 0.8230
Co1 Co 0.5000 0.5000 0.5000
W1 W 0.5000 0.0000 0.0000
```

Peak list (10 most intense, 15 to 90 degrees two-theta, by intensity)
2θ/deg, d/Å, I (rel.), (hkl)
42.6, 2.123, 100, 1 1 1
43.0, 2.104, 87, 0 2 0
24.4, 3.645, 40, 0 1 1
78.6, 1.218, 21, 1 3 1
62.1, 1.495, 19, 1 2 -2
21.1, 4.205, 13, 0 1 0
32.5, 2.755, 13, 0 1 2
62.1, 1.494, 11, 1 0 4
78.4, 1.220, 10, 1 1 -5
77.6, 1.230, 10, 2 1 -1

***

(6)
# VCo6W
Calculated powder XRD pattern, Cu Kα (λ = 1.5418 Å). Input: a crystal structure in Alexandria, relaxed with GGA-PBE.
Peak positions follow from Bragg's law for the DFT cell and can differ from measured ones.

Cell and atoms:
```
data_VCo6W
_cell_length_a 7.1188
_cell_length_b 10.0627
_cell_length_c 10.0571
_cell_angle_alpha 90.00
_cell_angle_beta 90.00
_cell_angle_gamma 90.00
_space_group_name_H-M_alt 'C m m m'
_space_group_IT_number 65
_space_group_name_Hall '-C 2 2'
loop_
_atom_site_label
_atom_site_type_symbol
_atom_site_fract_x
_atom_site_fract_y
_atom_site_fract_z
V1 V 0.0000 0.0000 0.2467
V2 V 0.0000 0.2515 0.0000
Co1 Co 0.0000 0.0000 0.0000
Co2 Co 0.0000 0.0000 0.5000
Co3 Co 0.0000 0.2483 0.2472
Co4 Co 0.0000 0.5000 0.0000
Co5 Co 0.0000 0.5000 0.5000
Co6 Co 0.2474 0.1241 0.3734
Co7 Co 0.2474 0.1259 0.1234
W1 W 0.0000 0.2513 0.5000
W2 W 0.0000 0.5000 0.2473
```

Peak list (10 most intense, 15 to 90 degrees two-theta, by intensity)
2θ/deg, d/Å, I (rel.), (hkl)
44.1, 2.054, 100, 2 4 0
51.4, 1.779, 47, 4 0 0
75.6, 1.258, 28, 0 8 0
25.0, 3.558, 11, 2 0 0
35.7, 2.516, 9, 2 2 2
15.2, 5.812, 7, 1 1 0
23.4, 3.803, 6, 1 1 2
58.0, 1.591, 5, 4 2 2
32.1, 2.791, 4, 2 2 1
19.7, 4.500, 4, 0 2 1

***

Number 5 is which compound? V4CoW

***

Copy entry 1 word for word.
# VCo
Calculated powder XRD pattern, Cu Kα (λ = 1.5418 Å). Input: a crystal structure in Alexandria, relaxed with GGA-PBE.
Peak positions follow from Bragg's law for the DFT cell and can differ from measured ones.

Cell and atoms:
```
data_VCo
_cell_length_a 2.8982
_cell_length_b 2.8982
_cell_length_c 2.8982
_cell_angle_alpha 90.00
_cell_angle_beta 90.00
_cell_angle_gamma 90.00
_space_group_name_H-M_alt 'P m -3 m'
_space_group_IT_number 221
_space_group_name_Hall '-P 4 2 3'
loop_
_atom_site_label
_atom_site_type_symbol
_atom_site_fract_x
_atom_site_fract_y
_atom_site_fract_z
V1 V 0.0000 0.0000 0.0000
Co1 Co 0.5000 0.5000 0.5000
```

Peak list (5 most intense, 15 to 90 degrees two-theta, by intensity)
2θ/deg, d/Å, I (rel.), (hkl)
44.2, 2.049, 100, 1 1 0
81.3, 1.183, 28, 2 1 1
64.3, 1.449, 15, 2 0 0
30.9, 2.898, 2, 1 0 0
73.0, 1.296, 1, 2 1 0